For Ca2B2O5, a cell relaxed with GGA-PBE gives the calculated powder XRD pattern in this record (copper Kα).
Kinematic intensities with the Lorentz-polarization factor, no thermal factor.

Structural model:
```
Ca2B2O5
1.0
3.5950 0.0000 0.0000
0.0000 6.4006 0.0000
0.0000 0.0000 19.3893
Ca B O
8 8 20
Cartesian
0.7353 0.3533 1.1922
0.7376 1.2906 15.3195
1.0599 5.1100 5.6248
1.0622 6.0473 10.8869
2.5351 1.9097 4.0698
2.5328 2.8470 18.1971
2.8597 3.5536 8.5024
2.8574 4.4909 13.7645
0.5214 3.1816 1.6004
0.6580 1.8102 6.6616
1.1395 4.5903 16.3562
1.2761 3.2190 11.2950
2.3189 0.0187 17.7890
2.4556 1.3901 12.7277
2.9370 5.0105 3.0331
3.0737 6.3819 8.0943
0.0039 4.4795 1.8741
0.6916 3.3094 16.5395
0.7259 2.8376 0.2950
0.7423 2.2817 2.6076
0.7606 1.1140 5.4870
1.0369 5.2866 15.1817
1.0553 4.1189 12.3023
1.0716 3.5630 9.9897
1.1059 3.0912 6.8449
1.7936 1.9211 11.5688
1.8014 5.1214 17.5152
2.4892 6.2914 2.8498
2.5234 0.3627 19.0943
2.5398 0.9186 16.7817
2.5581 2.0863 13.9023
2.8344 4.3143 4.2076
2.8528 5.4819 7.0870
2.8691 6.0379 9.3996
2.9034 0.1091 12.5444
3.5911 1.2792 7.8205
```

Peak list (10 most intense, 10 to 90 degrees two-theta, low angle first)
| 2θ (°) | d (Å) | Rel. int. |
| --- | --- | --- |
| 23.02 | 3.864 | 17 |
| 26.88 | 3.317 | 14 |
| 28.41 | 3.141 | 18 |
| 29.39 | 3.039 | 53 |
| 30.97 | 2.888 | 100 |
| 31.73 | 2.820 | 26 |
| 40.08 | 2.250 | 21 |
| 43.43 | 2.084 | 14 |
| 47.30 | 1.922 | 32 |
| 47.42 | 1.917 | 24 |

---

For Cu2ReSiB, a cell relaxed with GGA-PBE gives the calculated powder XRD pattern in this record (copper Kα).
Kinematic intensities with the Lorentz-polarization factor, no thermal factor.

Structural model:
```
Cu2ReSiB
1.0
3.8821 0.0000 0.0000
0.0000 3.8821 0.0000
0.0000 0.0000 4.2038
Cu Re Si B
2 1 1 1
Cartesian
0.0000 1.9411 0.0000
1.9411 0.0000 0.0000
0.0000 0.0000 2.1019
1.9411 1.9411 2.1019
0.0000 0.0000 0.0000
```

Peak list (10 most intense, 10 to 90 degrees two-theta, low angle first)
| 2θ (°) | d (Å) | Rel. int. |
| --- | --- | --- |
| 22.91 | 3.882 | 45 |
| 31.36 | 2.852 | 33 |
| 39.19 | 2.298 | 100 |
| 43.03 | 2.102 | 21 |
| 46.80 | 1.941 | 32 |
| 49.30 | 1.848 | 12 |
| 57.43 | 1.605 | 13 |
| 65.45 | 1.426 | 23 |
| 76.30 | 1.248 | 14 |
| 81.72 | 1.178 | 23 |

---

For Li3CrH6, a cell relaxed with GGA-PBE gives the calculated powder XRD pattern in this record (copper Kα).
Kinematic intensities with the Lorentz-polarization factor, no thermal factor.

Structural model:
```
Li3CrH6
1.0
3.9891 2.3031 3.1630
-3.9891 2.3031 3.1630
0.0000 -4.6062 3.1630
Li Cr H
6 2 12
Cartesian
-2.7375 -0.1353 3.9538
-1.2516 -2.4384 5.5353
1.4859 -2.3031 3.9538
-1.4859 2.3031 5.5353
1.2516 2.4384 3.9538
2.7375 0.1353 5.5353
0.0000 0.0000 0.0000
0.0000 0.0000 4.7445
-1.0355 -3.5807 4.0512
-3.6187 -0.8936 5.4378
-1.0355 -1.0255 3.8563
-2.5832 2.6871 4.0512
-1.4059 0.3840 5.6328
-0.3704 1.4095 3.8563
0.3704 -1.4095 5.6328
1.4059 -0.3840 3.8563
2.5832 -2.6871 5.4378
1.0355 1.0255 5.6327
3.6187 0.8936 4.0512
1.0355 3.5807 5.4378
```

Peak list (10 most intense, 10 to 90 degrees two-theta, low angle first)
| 2θ (°) | d (Å) | Rel. int. |
| --- | --- | --- |
| 22.29 | 3.989 | 77 |
| 22.74 | 3.911 | 100 |
| 32.05 | 2.793 | 46 |
| 39.11 | 2.303 | 32 |
| 39.38 | 2.288 | 39 |
| 40.19 | 2.244 | 19 |
| 46.43 | 1.956 | 11 |
| 51.43 | 1.777 | 17 |
| 52.08 | 1.756 | 19 |
| 63.25 | 1.470 | 12 |

---

For BaLaMn2Co, a cell relaxed with GGA-PBE gives the calculated powder XRD pattern in this record (copper Kα).
Kinematic intensities with the Lorentz-polarization factor, no thermal factor.

Structural model:
```
BaLaMn2Co
1.0
5.5305 0.0000 0.0000
0.0000 5.5305 0.0000
0.0000 0.0000 4.9128
Ba La Mn Co
1 1 2 1
Cartesian
0.0000 0.0000 0.0000
2.7652 2.7652 2.4564
0.0000 2.7652 2.4564
2.7652 0.0000 2.4564
2.7652 2.7652 0.0000
```

Peak list (10 most intense, 10 to 90 degrees two-theta, low angle first)
| 2θ (°) | d (Å) | Rel. int. |
| --- | --- | --- |
| 22.74 | 3.911 | 58 |
| 24.23 | 3.673 | 90 |
| 29.19 | 3.060 | 39 |
| 32.38 | 2.765 | 100 |
| 36.58 | 2.456 | 36 |
| 40.85 | 2.209 | 45 |
| 46.44 | 1.955 | 36 |
| 49.64 | 1.836 | 58 |
| 60.52 | 1.530 | 31 |
| 88.52 | 1.105 | 22 |

---

For TiBeB, a cell relaxed with GGA-PBE gives the calculated powder XRD pattern in this record (copper Kα).
Kinematic intensities with the Lorentz-polarization factor, no thermal factor.

Structural model:
```
TiBeB
1.0
-1.4966 1.6971 5.8345
1.4966 -1.6971 5.8345
1.4966 1.6971 -5.8345
Ti Be B
2 2 2
Cartesian
0.0000 0.8485 1.6589
1.4966 0.8485 4.1756
1.4966 0.8485 -0.5438
0.0000 0.8485 6.3783
1.4966 0.8485 -2.4728
0.0000 0.8485 8.3072
```

Peak list (10 most intense, 10 to 90 degrees two-theta, low angle first)
| 2θ (°) | d (Å) | Rel. int. |
| --- | --- | --- |
| 15.19 | 5.834 | 24 |
| 27.37 | 3.259 | 47 |
| 30.65 | 2.917 | 31 |
| 30.84 | 2.899 | 23 |
| 35.09 | 2.557 | 17 |
| 37.93 | 2.372 | 45 |
| 43.18 | 2.095 | 100 |
| 47.27 | 1.923 | 40 |
| 54.03 | 1.697 | 16 |
| 63.92 | 1.456 | 16 |

---

For PuSb2Se4, a cell relaxed with GGA-PBE gives the calculated powder XRD pattern in this record (copper Kα).
Kinematic intensities with the Lorentz-polarization factor, no thermal factor.

Structural model:
```
PuSb2Se4
1.0
2.0961 -6.7335 0.0000
2.0961 6.7335 0.0000
0.0000 0.0000 13.6886
Pu Sb Se
2 4 8
Cartesian
2.0961 5.1042 10.2665
2.0961 -5.1042 3.4222
2.0961 1.7727 7.7714
2.0961 1.7727 12.7615
2.0961 -1.7727 0.9271
2.0961 -1.7727 5.9172
0.0000 0.0000 0.0000
0.0000 0.0000 6.8443
2.0961 3.0104 1.6574
2.0961 3.0104 5.1869
2.0961 0.4117 10.2665
2.0961 -0.4117 3.4222
2.0961 -3.0104 8.5017
2.0961 -3.0104 12.0312
```

Peak list (10 most intense, 10 to 90 degrees two-theta, low angle first)
| 2θ (°) | d (Å) | Rel. int. |
| --- | --- | --- |
| 14.66 | 6.042 | 32 |
| 23.55 | 3.777 | 91 |
| 29.27 | 3.051 | 35 |
| 29.88 | 2.990 | 93 |
| 32.00 | 2.797 | 100 |
| 39.49 | 2.282 | 34 |
| 39.89 | 2.260 | 54 |
| 42.00 | 2.151 | 40 |
| 43.16 | 2.096 | 38 |
| 45.01 | 2.014 | 42 |